For K2MgHF6, a cell relaxed with GGA-PBE gives the calculated PXRD pattern in this record (λ = 1.5418 Å (Cu Kα)).
Neutral-atom scattering factors, no anomalous dispersion.

Structural model:
```
data_K2MgHF6
_symmetry_space_group_name_H-M 'P m m n'
_symmetry_Int_Tables_number 59
_cell_length_a 4.9621
_cell_length_b 9.7246
_cell_length_c 6.1893
_cell_angle_alpha 90.00
_cell_angle_beta 90.00
_cell_angle_gamma 90.00
loop_
_symmetry_equiv_pos_as_xyz
'x,y,z'
'-x,-y,-z'
'-x+1/2,-y+1/2,z'
'x+1/2,y+1/2,-z'
'x+1/2,-y,-z'
'-x+1/2,y,z'
'-x,y+1/2,-z'
'x,-y+1/2,z'
loop_
_atom_site_label
_atom_site_fract_x
_atom_site_fract_y
_atom_site_fract_z
K1 0.2500 0.0478 0.2271
Mg1 0.2500 0.2500 0.7208
H1 0.2500 0.7500 0.5257
F1 0.0067 0.7500 0.0300
F2 0.0199 0.7500 0.5219
F3 0.2500 0.0480 0.7291
```

Peak list (10 most intense, 2θ from 10° to 80°, low angle first)
2theta	d_spacing	Rel. int.
20.09	4.420	54
29.49	3.029	50
33.01	2.714	31
34.35	2.611	100
35.41	2.535	36
36.98	2.431	41
40.83	2.210	59
46.94	1.936	75
50.39	1.811	25
59.11	1.563	33